Diffraction record for NdFe12B6. The powder X-ray diffraction pattern is theoretical, not measured: it uses a DFT-relaxed cell (PBE, the Materials Project) and CuKα.
Lines closer than 0.1° are merged.

Structure:
```
data_NdFe12B6
_chemical_formula_sum 'Nd3 Fe36 B18'
_cell_length_a 9.5875
_cell_length_b 9.5875
_cell_length_c 7.4679
_cell_angle_alpha 90.00
_cell_angle_beta 90.00
_cell_angle_gamma 120.00
_symmetry_space_group_name_H-M 'R -3 m'
_symmetry_Int_Tables_number 166
_symmetry_space_group_name_Hall '-R 3 2"'
loop_
_atom_site_label
_atom_site_type_symbol
_atom_site_fract_x
_atom_site_fract_y
_atom_site_fract_z
Nd1 Nd 0.0000 0.0000 0.0000
Fe1 Fe 0.0000 0.3691 0.5000
Fe2 Fe 0.0894 0.1787 0.3666
B1 B 0.0306 0.5153 0.2846
```

Top 12 peaks for 10 to 90 degrees two-theta, in order of falling intensity:
two_theta, intensity, (hkl)
41.01, 100, 1 3 1
40.85, 55, 1 1 3
32.24, 38, 2 0 2
32.35, 31, 3 0 0
46.32, 22, 3 1 2
49.23, 21, 3 0 3
57.69, 20, 3 3 0
61.07, 19, 5 0 2
30.91, 14, 2 1 1
63.51, 11, 1 4 3
82.31, 9, 7 0 1
50.30, 9, 0 4 2